For Dy2TmIn3PdPt2, DFT lattice parameters and positions (GGA-PBE) gives the computed powder XRD pattern in this record (a wavelength of 1.5418 Å).
Neutral-atom scattering factors, no anomalous dispersion.

Principal peaks in the range 2θ = 15–90°, sorted by position:
- 33.10°, I 100, hkl 1 3 1
- 35.59°, I 45, hkl 0 1 3
- 35.80°, I 92, hkl 1 4 0
- 40.56°, I 47, hkl 0 6 0
- 43.03°, I 27, hkl 1 4 2
- 64.47°, I 24, hkl 2 6 0

Atomic structure:
```
data_Dy2TmIn3PdPt2
_chemical_formula_sum 'Dy4 Tm2 In6 Pd2 Pt4'
_symmetry_space_group_name_H-M 'A m m 2'
_symmetry_Int_Tables_number 38
_cell_length_a 3.803
_cell_length_b 13.327
_cell_length_c 7.717
_cell_angle_alpha 90.00
_cell_angle_beta 90.00
_cell_angle_gamma 90.00
loop_
_symmetry_equiv_pos_as_xyz
'x,y,z'
'-x,-y,z'
'-x,y,z'
'x,-y,z'
'x,y+1/2,z+1/2'
'-x,-y+1/2,z+1/2'
'-x,y+1/2,z+1/2'
'x,-y+1/2,z+1/2'
loop_
_atom_site_label
_atom_site_type_symbol
_atom_site_fract_x
_atom_site_fract_y
_atom_site_fract_z
_atom_site_occupancy
Dy1 Dy 0.000 0.205 0.000 1
Tm1 Tm 0.000 0.000 0.386 1
In1 In 0.500 0.000 0.056 1
In2 In 0.500 0.130 0.665 1
Pd1 Pd 0.000 0.000 0.794 1
Pt1 Pt 0.500 0.165 0.296 1
```